Theoretical powder diffractogram of Tm6Sn2Au for Cu Kα, 1.54184 Å, from the PBE geometry in Alexandria.
Kinematic intensities with the Lorentz-polarization factor, no thermal factor.

Top 6 peaks for 2θ from 5° to 70°, most intense first:
d = 2.873 Å, rel. 100, (1 1 1); d = 2.674 Å, rel. 89, (2 0 1); d = 2.437 Å, rel. 54, (3 0 0); d = 2.763 Å, rel. 53, (2 1 0); d = 1.542 Å, rel. 43, (3 2 1); d = 2.259 Å, rel. 43, (2 1 1)

a = 8.4424 Å, b = 8.4424 Å, c = 3.9212 Å
α = 90.00°, β = 90.00°, γ = 120.00°
Space group P-62m (No. 189)
Unique sites:
Tm  0.0000  0.3965  0.0000 [3 per cell]
Tm  0.0000  0.7443  0.5000 [3 per cell]
Sn  0.3333  0.6667  0.5000 [2 per cell]
Au  0.0000  0.0000  0.0000 [1 per cell]